Computed powder diffraction line list
Compound: VBiPbO5
Radiation: Cu Kα X-rays
Structure: a structure optimized by DFT (PBE+U)

Most intense lines, 15° ≤ 2θ ≤ 90°, low angle first:
Position (°2θ)	I_rel
26.61	100
29.31	72
31.12	21
31.60	45
34.48	18
43.57	14
44.95	25
47.47	23
53.32	15
54.85	24

abc: 13.390 5.661 7.267
angles: 90.00 111.44 90.00
Space group C2/m (No. 12)
Unique sites:
V1 0.166 0.000 0.151 [4 per cell]
Bi1 0.010 0.500 0.749 [4 per cell]
Pb1 0.158 0.000 0.617 [4 per cell]
O1 0.000 0.264 0.500 [4 per cell]
O2 0.096 0.000 0.898 [4 per cell]
O3 0.137 0.249 0.268 [8 per cell]
O4 0.196 0.500 0.793 [4 per cell]